# KBeNi2
Theoretical X-ray diffraction stick pattern, Cu Kα (weighted mean of Kα1 and Kα2). Input: a cell relaxed with PBE.
Peak positions follow from Bragg's law for the DFT cell and can differ from measured ones.

Principal peaks in the range 2θ = 10–90°, by angle:
hkl 0 0 1, 15.19°, d = 5.831 Å, I 100.0
hkl 2 0 -1, 26.78°, d = 3.329 Å, I 27.0
hkl 1 1 -1, 28.29°, d = 3.155 Å, I 27.9
hkl 0 0 2, 30.66°, d = 2.916 Å, I 59.0
hkl 1 1 1, 33.35°, d = 2.687 Å, I 39.6
hkl 2 0 -2, 33.62°, d = 2.666 Å, I 19.4
hkl 0 2 0, 46.38°, d = 1.958 Å, I 57.0
hkl 3 1 1, 56.34°, d = 1.633 Å, I 18.6

Atomic structure:
a b c (Å): 6.785 3.914 6.230
angles (deg): 90.00 110.62 90.00
Space group Cm (No. 8)
Symmetry-distinct sites (fractional):
K1 0.000 0.000 0.000 x2
Be1 0.326 0.500 0.474 x2
Ni1 0.178 0.000 0.534 x2
Ni2 0.495 0.000 0.482 x2